Ac2SeN2: calculated X-ray powder pattern (a wavelength of 1.5418 Å), based on a DFT-relaxed cell (PBE, Alexandria).
Neutral-atom scattering factors, no anomalous dispersion.

Structural model:
Lattice parameters (Å, degrees): 7.670 7.670 6.983 100.26 100.26 33.45
Element x y z (fractional)
Ac1 0.070 0.637 0.852
Ac2 0.363 0.930 0.648
Ac3 0.637 0.070 0.352
Ac4 0.930 0.363 0.148
Se1 0.280 0.720 0.250
Se2 0.720 0.280 0.750
N1 0.143 0.411 0.471
N2 0.411 0.143 0.971
N3 0.589 0.857 0.029
N4 0.857 0.589 0.529

Top 12 peaks for 5 to 70 degrees two-theta, sorted by position:
2θ (°)	Rel. int.
24.67	20.9
25.37	51.1
26.62	26.5
28.86	100.0
30.87	37.6
31.90	23.8
37.38	14.5
40.89	17.4
41.51	21.8
41.65	15.6
43.99	31.6
59.83	19.2